For CoNi, a structure optimized by DFT (GGA-PBE) gives the simulated powder diffraction line list in this record (Cu Kα X-rays).
Intensities are scaled so that the largest is 100.

Peak list (5 most intense, 5° ≤ 2θ ≤ 70°, by angle)
2θ (°)	intensity	index
45.81	25.4	0 0 2
46.04	100.0	1 1 1
46.20	24.7	0 2 0
67.10	14.7	0 2 2
67.21	7.3	2 0 0

Structure:
Lattice parameters (Å, degrees): 2.786 3.930 3.962 90.00 90.00 90.00
Space group Cmmm (No. 65)
Inequivalent atoms, fractional coordinates:
Co 0.000 0.000 0.000
Ni 0.000 0.500 0.500

---

For Co3Ni, a structure optimized by DFT (GGA-PBE) gives the simulated powder diffraction line list in this record (Cu Kα X-rays).
Intensities are scaled so that the largest is 100.

Peak list (2 most intense, 5° ≤ 2θ ≤ 70°, by angle)
2θ (°)	intensity	index
44.66	100.0	1 1 1
52.05	46.2	2 0 0

Structure:
Lattice parameters (Å, degrees): 3.514 3.514 3.514 90.00 90.00 90.00
Space group Pm-3m (No. 221)
Inequivalent atoms, fractional coordinates:
Co 0.000 0.000 0.500
Ni 0.500 0.500 0.500

---

For CoNi, a structure optimized by DFT (GGA-PBE) gives the simulated powder diffraction line list in this record (Cu Kα X-rays).
Intensities are scaled so that the largest is 100.

Peak list (2 most intense, 5° ≤ 2θ ≤ 70°, by angle)
2θ (°)	intensity	index
45.79	100.0	1 1 0
66.77	14.7	2 0 0

Structure:
Lattice parameters (Å, degrees): 2.802 2.802 2.802 90.00 90.00 90.00
Space group Pm-3m (No. 221)
Inequivalent atoms, fractional coordinates:
Co 0.000 0.000 0.000
Ni 0.500 0.500 0.500

---

For Co3Ni, a structure optimized by DFT (GGA-PBE) gives the simulated powder diffraction line list in this record (Cu Kα X-rays).
Intensities are scaled so that the largest is 100.

Peak list (4 most intense, 5° ≤ 2θ ≤ 70°, by angle)
2θ (°)	intensity	index
41.84	25.1	2 0 0
45.02	26.8	0 0 2
47.80	100.0	2 0 1
63.14	13.5	2 0 2

Structure:
Lattice parameters (Å, degrees): 4.9856 4.9856 4.0277 90.00 90.00 120.00
Space group P6_3/mmc (No. 194)
Inequivalent atoms, fractional coordinates:
Co 0.1661 0.3323 0.2500
Ni 0.3333 0.6667 0.7500

---

For CoNi3, a structure optimized by DFT (GGA-PBE) gives the simulated powder diffraction line list in this record (Cu Kα X-rays).
Intensities are scaled so that the largest is 100.

Peak list (2 most intense, 5° ≤ 2θ ≤ 70°, by angle)
2θ (°)	intensity	index
44.66	100.0	1 1 1
52.04	46.3	2 0 0

Structure:
Lattice parameters (Å, degrees): 3.515 3.515 3.515 90.00 90.00 90.00
Space group Pm-3m (No. 221)
Inequivalent atoms, fractional coordinates:
Co 0.000 0.000 0.000
Ni 0.000 0.500 0.500

---

For CoNiP, a structure optimized by DFT (GGA-PBE) gives the simulated powder diffraction line list in this record (Cu Kα X-rays).
Intensities are scaled so that the largest is 100.

Peak list (10 most intense, 5° ≤ 2θ ≤ 70°, by angle)
2θ (°)	intensity	index
17.66	2.8	1 0 0
30.83	5.8	1 1 0
32.30	2.5	1 0 1
41.32	100.0	1 1 1
45.25	45.1	2 0 1
47.91	36.1	2 1 0
54.82	22.8	3 0 0
55.28	19.2	0 0 2
55.76	14.0	2 1 1
67.19	5.1	3 1 0

Structure:
Lattice parameters (Å, degrees): 5.8006 5.8006 3.3234 90.00 90.00 120.00
Space group P-62m (No. 189)
Inequivalent atoms, fractional coordinates:
Co 0.0000 0.6066 0.0000
Ni 0.0000 0.2594 0.5000
P 0.0000 0.0000 0.0000
P 0.3333 0.6667 0.5000

---

For CoNiP, a structure optimized by DFT (GGA-PBE) gives the simulated powder diffraction line list in this record (Cu Kα X-rays).
Intensities are scaled so that the largest is 100.

Peak list (10 most intense, 5° ≤ 2θ ≤ 70°, by angle)
2θ (°)	intensity	index
30.84	6.1	1 1 0
32.24	2.4	1 0 1
35.76	1.5	2 0 0
41.27	100.0	1 1 1
45.21	47.6	2 0 1
47.93	35.2	2 1 0
54.84	22.5	3 0 0
55.12	19.3	0 0 2
55.73	11.5	2 1 1
67.21	6.1	3 1 0

Structure:
Lattice parameters (Å, degrees): 5.7989 5.7989 3.3327 90.00 90.00 120.00
Space group P-62m (No. 189)
Inequivalent atoms, fractional coordinates:
Co 0.0000 0.7390 0.0000
Ni 0.0000 0.3963 0.5000
P 0.0000 0.0000 0.5000
P 0.3333 0.6667 0.0000

---

For Co7NiP4, a structure optimized by DFT (GGA-PBE) gives the simulated powder diffraction line list in this record (Cu Kα X-rays).
Intensities are scaled so that the largest is 100.

Peak list (10 most intense, 5° ≤ 2θ ≤ 70°, by angle)
2θ (°)	intensity	index
40.90	70.3	1 1 -2
41.00	74.0	1 1 2
41.44	70.4	2 1 0
43.76	100.0	2 1 1
44.29	22.8	1 0 -3
44.44	21.8	1 0 3
48.96	37.5	0 1 3
51.12	16.4	3 0 -1
51.25	16.9	3 0 1
52.18	59.1	0 2 0

Structure:
Lattice parameters (Å, degrees): 5.563 3.506 6.585 90.00 90.26 90.00
Space group Pm (No. 6)
Inequivalent atoms, fractional coordinates:
Co 0.000 0.000 0.000
Co 0.063 0.500 0.331
Co 0.171 0.500 0.732
Co 0.387 0.000 0.234
Co 0.493 0.000 0.833
Co 0.673 0.500 0.102
Co 0.882 0.000 0.602
Ni 0.559 0.500 0.503
P 0.269 0.000 0.544
P 0.284 0.500 0.045
P 0.780 0.000 0.287
P 0.783 0.500 0.792